This entry pairs a crystal structure of Tb2Ni7 with its computed powder diffractogram. Radiation: Cu Kα (λ = 1.5418 Å). Structure: a structure optimized by DFT (GGA-PBE).
No peak broadening, texture or thermal motion is included.

Atomic structure:
Cell lengths 4.9436, 4.9436, 36.2519 Å; angles 90.00, 90.00, 120.00 degrees
Space group R-3m (No. 166, hexagonal axes)
Unique sites:
Tb1 0.0000 0.0000 0.0505 x6
Tb2 0.0000 0.0000 0.1471 x6
Ni1 0.0000 0.0000 0.2783 x6
Ni2 0.0000 0.0000 0.3882 x6
Ni3 0.0000 0.0000 0.5000 x3
Ni4 0.0000 0.5000 0.0000 x9
Ni5 0.0007 0.5004 0.8905 x18

Top 8 peaks for 2θ from 10° to 90°, sorted by position:
32.36 deg, I = 44, (1 0 10)
34.34 deg, I = 35, (0 1 11)
36.35 deg, I = 50, (1 1 0)
42.29 deg, I = 36, (0 2 1)
42.93 deg, I = 100, (1 1 9)
45.01 deg, I = 15, (0 0 18)
69.93 deg, I = 22, (3 0 9)
77.18 deg, I = 21, (2 2 0)

---

This entry pairs a crystal structure of CsKAuBr with its computed powder diffractogram. Radiation: Cu Kα (λ = 1.5418 Å). Structure: a structure optimized by DFT (GGA-PBE).
No peak broadening, texture or thermal motion is included.

Atomic structure:
Cell lengths 4.8728, 4.8728, 25.6572 Å; angles 90.00, 90.00, 120.00 degrees
Space group R3m (No. 160, hexagonal axes)
Unique sites:
Cs1 0.0000 0.0000 0.0000 x3
K1 0.0000 0.0000 0.8285 x3
Au1 0.0000 0.0000 0.2415 x3
Br1 0.0000 0.0000 0.4230 x3

Top 8 peaks for 2θ from 10° to 90°, sorted by position:
10.34 deg, I = 26, (0 0 3)
21.34 deg, I = 57, (1 0 1)
25.26 deg, I = 67, (1 0 4)
27.36 deg, I = 100, (0 1 5)
32.35 deg, I = 35, (1 0 7)
36.89 deg, I = 61, (1 1 0)
46.54 deg, I = 23, (2 0 5)
57.33 deg, I = 28, (1 1 12)

---

This entry pairs a crystal structure of SrMgGa4 with its computed powder diffractogram. Radiation: Cu Kα (λ = 1.5418 Å). Structure: a structure optimized by DFT (GGA-PBE).
No peak broadening, texture or thermal motion is included.

Atomic structure:
Cell lengths 8.3076, 15.9410, 4.1427 Å; angles 90.00, 90.00, 90.00 degrees
Space group Pbam (No. 55)
Unique sites:
Sr1 0.1288 0.1494 0.0000 x4
Mg1 0.1294 0.4156 0.0000 x4
Ga1 0.0178 0.6961 0.5000 x4
Ga2 0.1157 0.5500 0.5000 x4
Ga3 0.1333 0.9677 0.5000 x4
Ga4 0.2106 0.8141 0.5000 x4

Top 8 peaks for 2θ from 10° to 90°, sorted by position:
21.45 deg, I = 71, (0 0 1)
29.38 deg, I = 49, (1 3 1)
31.00 deg, I = 100, (2 1 1)
31.14 deg, I = 52, (0 4 1)
34.94 deg, I = 45, (2 3 1)
35.49 deg, I = 54, (2 5 0)
43.70 deg, I = 56, (0 0 2)
50.79 deg, I = 51, (0 8 1)

---

This entry pairs a crystal structure of LaPrTe2Se with its computed powder diffractogram. Radiation: Cu Kα (λ = 1.5418 Å). Structure: a structure optimized by DFT (GGA-PBE).
No peak broadening, texture or thermal motion is included.

Atomic structure:
Cell lengths 4.5050, 4.5050, 15.9995 Å; angles 90.00, 90.00, 90.00 degrees
Space group P4/nmm (No. 129, origin choice 2)
Unique sites:
La1 0.2500 0.2500 0.1285 x2
Pr1 0.2500 0.2500 0.5971 x2
Te1 0.2500 0.2500 0.3917 x2
Te2 0.2500 0.2500 0.7950 x2
Se1 0.2500 0.7500 0.0000 x2

Top 8 peaks for 2θ from 10° to 90°, sorted by position:
25.89 deg, I = 26, (1 0 3)
27.88 deg, I = 36, (0 0 5)
28.01 deg, I = 100, (1 1 0)
28.57 deg, I = 26, (1 1 1)
36.04 deg, I = 76, (1 1 4)
40.01 deg, I = 89, (2 0 0)
49.49 deg, I = 29, (2 0 5)
65.50 deg, I = 30, (3 1 0)

---

This entry pairs a crystal structure of Pm2MnH12Ru3 with its computed powder diffractogram. Radiation: Cu Kα (λ = 1.5418 Å). Structure: a structure optimized by DFT (GGA-PBE).
No peak broadening, texture or thermal motion is included.

Atomic structure:
Cell lengths 6.0275, 6.0275, 14.3006 Å; angles 90.00, 90.00, 120.00 degrees
Space group R-3m (No. 166, hexagonal axes)
Unique sites:
Pm1 0.0000 0.0000 0.1309 x6
Mn1 0.0000 0.0000 0.5000 x3
H1 0.0393 0.5196 0.3739 x18
H2 0.0417 0.5208 0.1202 x18
Ru1 0.0000 0.5000 0.0000 x9

Top 8 peaks for 2θ from 10° to 90°, sorted by position:
29.64 deg, I = 30, (1 1 0)
30.30 deg, I = 54, (1 0 4)
34.95 deg, I = 69, (0 2 1)
35.23 deg, I = 100, (1 1 3)
35.80 deg, I = 34, (0 1 5)
36.65 deg, I = 35, (2 0 2)
56.28 deg, I = 25, (3 0 3)
61.54 deg, I = 28, (2 2 0)

---

This entry pairs a crystal structure of HoNiPt with its computed powder diffractogram. Radiation: Cu Kα (λ = 1.5418 Å). Structure: a structure optimized by DFT (GGA-PBE).
No peak broadening, texture or thermal motion is included.

Atomic structure:
Cell lengths 5.1133, 5.4565, 7.3246 Å; angles 90.00, 90.00, 90.00 degrees
Space group Imma (No. 74)
Unique sites:
Ho1 0.0000 0.2500 0.1196 x4
Ni1 0.2500 0.2500 0.7500 x4
Pt1 0.0000 0.0000 0.5000 x4

Top 8 peaks for 2θ from 10° to 90°, sorted by position:
34.31 deg, I = 40, (1 1 2)
35.10 deg, I = 30, (2 0 0)
39.40 deg, I = 100, (1 2 1)
40.93 deg, I = 69, (1 0 3)
41.26 deg, I = 28, (0 2 2)
43.15 deg, I = 29, (2 0 2)
65.86 deg, I = 22, (3 2 1)
72.30 deg, I = 30, (2 2 4)

---

This entry pairs a crystal structure of PmSm2Y6Ho3 with its computed powder diffractogram. Radiation: Cu Kα (λ = 1.5418 Å). Structure: a structure optimized by DFT (GGA-PBE).
No peak broadening, texture or thermal motion is included.

Atomic structure:
Cell lengths 6.1982, 10.7261, 11.8308 Å; angles 90.00, 100.01, 90.00 degrees
Space group C2/m (No. 12)
Unique sites:
Pm1 0.0000 0.0000 0.0000 x2
Sm1 0.0000 0.3334 0.0000 x4
Y1 0.2489 0.0000 0.7472 x4
Y2 0.2487 0.3333 0.7474 x8
Ho1 0.0000 0.1667 0.5000 x4
Ho2 0.0000 0.5000 0.5000 x2

Top 8 peaks for 2θ from 10° to 90°, sorted by position:
30.64 deg, I = 100, (1 3 1)
35.53 deg, I = 50, (2 0 2)
51.07 deg, I = 18, (0 6 0)
51.17 deg, I = 18, (1 3 5)
60.75 deg, I = 24, (4 0 0)
60.83 deg, I = 17, (0 6 4)
63.75 deg, I = 9, (2 6 2)
83.26 deg, I = 9, (4 6 0)

---

This entry pairs a crystal structure of Dy5Mg5Ag2 with its computed powder diffractogram. Radiation: Cu Kα (λ = 1.5418 Å). Structure: a structure optimized by DFT (GGA-PBE).
No peak broadening, texture or thermal motion is included.

Atomic structure:
Cell lengths 9.1587, 5.2872, 13.3451 Å; angles 90.00, 103.36, 90.00 degrees
Space group C2/m (No. 12)
Unique sites:
Dy1 0.0000 0.0000 0.0000 x2
Dy2 0.1001 0.5000 0.8001 x4
Dy3 0.1420 0.0000 0.4264 x4
Mg1 0.0000 0.5000 0.5000 x2
Mg2 0.1926 0.5000 0.0765 x4
Mg3 0.2268 0.0000 0.6814 x4
Ag1 0.0708 0.0000 0.2128 x4

Top 8 peaks for 2θ from 10° to 90°, sorted by position:
19.52 deg, I = 21, (1 1 0)
19.92 deg, I = 20, (2 0 0)
21.44 deg, I = 31, (2 0 -2)
31.95 deg, I = 19, (2 0 3)
33.91 deg, I = 100, (0 2 0)
35.81 deg, I = 33, (2 0 -5)
49.15 deg, I = 22, (0 2 5)
60.67 deg, I = 19, (6 0 -2)

---

Repeat the sixth record exactly.
This entry pairs a crystal structure of HoNiPt with its computed powder diffractogram. Radiation: Cu Kα (λ = 1.5418 Å). Structure: a structure optimized by DFT (GGA-PBE).
No peak broadening, texture or thermal motion is included.

Atomic structure:
Cell lengths 5.1133, 5.4565, 7.3246 Å; angles 90.00, 90.00, 90.00 degrees
Space group Imma (No. 74)
Unique sites:
Ho1 0.0000 0.2500 0.1196 x4
Ni1 0.2500 0.2500 0.7500 x4
Pt1 0.0000 0.0000 0.5000 x4

Top 8 peaks for 2θ from 10° to 90°, sorted by position:
34.31 deg, I = 40, (1 1 2)
35.10 deg, I = 30, (2 0 0)
39.40 deg, I = 100, (1 2 1)
40.93 deg, I = 69, (1 0 3)
41.26 deg, I = 28, (0 2 2)
43.15 deg, I = 29, (2 0 2)
65.86 deg, I = 22, (3 2 1)
72.30 deg, I = 30, (2 2 4)